Theoretical powder X-ray diffraction pattern
Compound: LaMo2F11
Radiation: copper Kα
Structure: DFT lattice parameters and positions (GGA+U)
Kinematic intensities with the Lorentz-polarization factor, no thermal factor.

Structure:
Unit cell a=8.476 b=8.476 c=8.476 alpha=125.55 beta=107.50 gamma=96.77
Atoms (fractional coordinates):
1 La 0.250 0.250 0.000
2 La 0.750 0.750 0.000
3 Mo 0.180 0.637 0.817
4 Mo 0.320 0.137 0.457
5 Mo 0.680 0.863 0.543
6 Mo 0.820 0.363 0.183
7 F 0.000 0.500 0.500
8 F 0.055 0.368 0.168
9 F 0.055 0.959 0.285
10 F 0.174 0.459 0.904
11 F 0.199 0.886 0.832
12 F 0.217 0.366 0.583
13 F 0.283 0.866 0.149
14 F 0.301 0.132 0.687
15 F 0.326 0.230 0.285
16 F 0.445 0.614 0.313
17 F 0.445 0.730 0.904
18 F 0.500 0.000 0.500
19 F 0.555 0.270 0.096
20 F 0.555 0.386 0.687
21 F 0.674 0.770 0.715
22 F 0.699 0.868 0.313
23 F 0.717 0.134 0.851
24 F 0.783 0.634 0.417
25 F 0.801 0.114 0.168
26 F 0.826 0.541 0.096
27 F 0.945 0.041 0.715
28 F 0.945 0.632 0.832

The 10 most intense peaks (2θ = 10–80°), by angle:
d [Å]  2θ/deg  I_rel
6.134  14.4  180
4.147  21.4  1000
3.943  22.6  296
3.743  23.8  590
3.443  25.9  417
3.068  29.1  237
2.074  43.6  483
1.922  47.3  275
1.834  49.7  290
1.808  50.5  150